Entry 1:
Calculated powder diffractogram
Compound: SrTbEuCoO6
Radiation: a wavelength of 1.5418 Å
Structure: DFT lattice parameters and positions (GGA+U)

Crystal structure
```
data_SrTbEuCoO6
_chemical_formula_sum 'Sr4 Tb4 Eu4 Co4 O24'
_space_group_name_H-M_alt 'F -4 3 m'
_space_group_IT_number 216
_space_group_name_Hall 'F -4 2 3'
_cell_length_a 8.082
_cell_length_b 8.082
_cell_length_c 8.082
_cell_angle_alpha 90.00
_cell_angle_beta 90.00
_cell_angle_gamma 90.00
loop_
_atom_site_label
_atom_site_fract_x
_atom_site_fract_y
_atom_site_fract_z
Sr1 0.000 0.000 0.000
Tb1 0.250 0.250 0.250
Eu1 0.000 0.000 0.500
Co1 0.250 0.250 0.750
O1 0.020 0.250 0.750
```

Main lines, in order of falling intensity (10° ≤ 2θ ≤ 90°):
d = 2.857 Å, 31.30 deg, intensity 100.0, (2 2 0); d = 1.650 Å, 55.72 deg, intensity 38.9, (4 2 2); d = 2.021 Å, 44.86 deg, intensity 30.2, (4 0 0); d = 1.429 Å, 65.31 deg, intensity 18.1, (4 4 0); d = 1.278 Å, 74.21 deg, intensity 17.5, (6 2 0); d = 4.666 Å, 19.02 deg, intensity 12.6, (1 1 1); d = 2.437 Å, 36.89 deg, intensity 9.8, (3 1 1); d = 1.167 Å, 82.73 deg, intensity 6.0, (4 4 4); d = 1.854 Å, 49.14 deg, intensity 5.4, (3 3 1); d = 1.555 Å, 59.42 deg, intensity 3.0, (3 3 3)

***

Entry 2:
Calculated powder diffractogram
Compound: SrEuYCoO6
Radiation: a wavelength of 1.5418 Å
Structure: DFT lattice parameters and positions (GGA+U)

Crystal structure
```
data_SrEuYCoO6
_chemical_formula_sum 'Sr4 Eu4 Y4 Co4 O24'
_space_group_name_H-M_alt 'F -4 3 m'
_space_group_IT_number 216
_space_group_name_Hall 'F -4 2 3'
_cell_length_a 8.062
_cell_length_b 8.062
_cell_length_c 8.062
_cell_angle_alpha 90.00
_cell_angle_beta 90.00
_cell_angle_gamma 90.00
loop_
_atom_site_label
_atom_site_fract_x
_atom_site_fract_y
_atom_site_fract_z
Sr1 0.000 0.000 0.000
Eu1 0.000 0.000 0.500
Y1 0.250 0.250 0.250
Co1 0.250 0.250 0.750
O1 0.020 0.250 0.750
```

Main lines, in order of falling intensity (10° ≤ 2θ ≤ 90°):
d = 2.850 Å, 31.38 deg, intensity 100.0, (2 2 0); d = 1.646 Å, 55.87 deg, intensity 38.2, (4 2 2); d = 2.016 Å, 44.98 deg, intensity 32.3, (4 0 0); d = 1.425 Å, 65.49 deg, intensity 19.1, (4 4 0); d = 1.275 Å, 74.42 deg, intensity 17.2, (6 2 0); d = 2.327 Å, 38.69 deg, intensity 9.6, (2 2 2); d = 4.655 Å, 19.07 deg, intensity 7.1, (1 1 1); d = 1.164 Å, 82.98 deg, intensity 6.3, (4 4 4); d = 2.431 Å, 36.98 deg, intensity 5.1, (3 1 1); d = 1.850 Å, 49.27 deg, intensity 2.8, (3 3 1)

***

Entry 3:
Calculated powder diffractogram
Compound: Eu2CoWO6
Radiation: a wavelength of 1.5418 Å
Structure: DFT lattice parameters and positions (GGA+U)

Crystal structure
```
data_Eu2CoWO6
_chemical_formula_sum 'Eu8 Co4 W4 O24'
_space_group_name_H-M_alt 'F m -3 m'
_space_group_IT_number 225
_space_group_name_Hall '-F 4 2 3'
_cell_length_a 8.015
_cell_length_b 8.015
_cell_length_c 8.015
_cell_angle_alpha 90.00
_cell_angle_beta 90.00
_cell_angle_gamma 90.00
loop_
_atom_site_label
_atom_site_fract_x
_atom_site_fract_y
_atom_site_fract_z
Eu1 0.250 0.250 0.250
Co1 0.000 0.000 0.000
W1 0.000 0.000 0.500
O1 0.000 0.000 0.257
```

Main lines, in order of falling intensity (10° ≤ 2θ ≤ 90°):
d = 2.834 Å, 31.57 deg, intensity 100.0, (2 2 0); d = 1.636 Å, 56.23 deg, intensity 39.6, (4 2 2); d = 2.004 Å, 45.26 deg, intensity 28.5, (4 0 0); d = 1.417 Å, 65.93 deg, intensity 17.5, (4 4 0); d = 1.267 Å, 74.94 deg, intensity 17.3, (6 2 0); d = 4.627 Å, 19.18 deg, intensity 12.6, (1 1 1); d = 2.417 Å, 37.21 deg, intensity 6.7, (3 1 1); d = 1.157 Å, 83.58 deg, intensity 6.0, (4 4 4); d = 2.314 Å, 38.93 deg, intensity 3.6, (2 2 2); d = 1.839 Å, 49.58 deg, intensity 2.8, (3 3 1)

***

Entry 4:
Calculated powder diffractogram
Compound: FeCoPO4F
Radiation: a wavelength of 1.5418 Å
Structure: DFT lattice parameters and positions (GGA+U)

Crystal structure
```
data_FeCoPO4F
_chemical_formula_sum 'Fe8 Co8 P8 O32 F8'
_space_group_name_H-M_alt 'C 1 c 1'
_space_group_IT_number 9
_cell_length_a 13.131
_cell_length_b 6.506
_cell_length_c 9.938
_cell_angle_alpha 90.00
_cell_angle_beta 118.38
_cell_angle_gamma 90.00
loop_
_space_group_symop_operation_xyz
'x,y,z'
'x,-y,z+1/2'
'x+1/2,y+1/2,z'
'x+1/2,-y+1/2,z+1/2'
loop_
_atom_site_label
_atom_site_fract_x
_atom_site_fract_y
_atom_site_fract_z
Fe1 0.000 0.107 0.000
Fe2 0.103 0.292 0.356
Co1 0.225 0.261 0.874
Co2 0.316 0.105 0.222
P1 0.338 0.403 0.670
P2 0.490 0.098 0.057
O1 0.033 0.215 0.499
O2 0.087 0.459 0.720
O3 0.247 0.456 0.503
O4 0.298 0.215 0.727
O5 0.354 0.412 0.278
O6 0.378 0.151 0.065
O7 0.456 0.355 0.674
O8 0.468 0.079 0.441
F1 0.157 0.140 0.012
F2 0.192 0.082 0.303
```

Main lines, in order of falling intensity (10° ≤ 2θ ≤ 90°):
d = 2.887 Å, 30.97 deg, intensity 100.0, (2 0 2); d = 3.049 Å, 29.29 deg, intensity 86.0, (0 2 1); d = 2.838 Å, 31.52 deg, intensity 63.7, (3 1 -3); d = 3.212 Å, 27.77 deg, intensity 63.6, (4 0 -2); d = 3.630 Å, 24.52 deg, intensity 48.0, (3 1 -1); d = 2.529 Å, 35.50 deg, intensity 26.1, (2 2 1); d = 3.392 Å, 26.27 deg, intensity 25.7, (3 1 -2); d = 1.987 Å, 45.65 deg, intensity 24.9, (6 0 -4); d = 1.765 Å, 51.81 deg, intensity 24.2, (3 3 1); d = 2.114 Å, 42.78 deg, intensity 22.5, (1 3 -1)